1.
Calculated X-ray diffraction stick pattern of Cs2SiF6 for Cu Kα X-rays, from a structure optimized by DFT (PBE).

Structure:
```
data_Cs2SiF6
_chemical_formula_sum 'Cs8 Si4 F24'
_cell_length_a 9.0715
_cell_length_b 9.0715
_cell_length_c 9.0715
_cell_angle_alpha 90.00
_cell_angle_beta 90.00
_cell_angle_gamma 90.00
_space_group_name_H-M_alt 'F m -3 m'
_space_group_IT_number 225
_space_group_name_Hall '-F 4 2 3'
loop_
_atom_site_label
_atom_site_fract_x
_atom_site_fract_y
_atom_site_fract_z
Cs1 0.2500 0.2500 0.2500
Si1 0.0000 0.0000 0.0000
F1 0.0000 0.0000 0.1903
```

The 12 most intense peaks (2θ from 10° to 90°), in order of rising 2θ:
hkl 1 1 1, 16.93°, 5.237 Å, intensity 18
hkl 2 0 0, 19.57°, 4.536 Å, intensity 50
hkl 2 2 0, 27.82°, 3.207 Å, intensity 100
hkl 2 2 2, 34.24°, 2.619 Å, intensity 53
hkl 4 0 0, 39.75°, 2.268 Å, intensity 35
hkl 4 2 0, 44.67°, 2.028 Å, intensity 35
hkl 4 2 2, 49.21°, 1.852 Å, intensity 31
hkl 4 4 0, 57.47°, 1.604 Å, intensity 19
hkl 4 4 2, 61.31°, 1.512 Å, intensity 20
hkl 6 2 0, 65.02°, 1.434 Å, intensity 24
hkl 6 2 2, 68.63°, 1.368 Å, intensity 14
hkl 6 4 2, 78.98°, 1.212 Å, intensity 23

***

2.
Calculated X-ray diffraction stick pattern of Li3CuO2 for Cu Kα X-rays, from a structure optimized by DFT (PBE).

Structure:
```
data_Li3CuO2
_chemical_formula_sum 'Li12 Cu4 O8'
_cell_length_a 5.4951
_cell_length_b 7.8777
_cell_length_c 6.9359
_cell_angle_alpha 90.00
_cell_angle_beta 116.99
_cell_angle_gamma 90.00
_space_group_name_H-M_alt 'P 1 21/c 1'
_space_group_IT_number 14
_space_group_name_Hall '-P 2ybc'
loop_
_atom_site_label
_atom_site_fract_x
_atom_site_fract_y
_atom_site_fract_z
Li1 0.2384 0.0341 0.1206
Li2 0.2496 0.0136 0.4795
Li3 0.2515 0.7017 0.3142
Cu1 0.2897 0.1706 0.8171
O1 0.0438 0.0104 0.7981
O2 0.4581 0.6675 0.1389
```

The 12 most intense peaks (2θ from 10° to 90°), in order of rising 2θ:
hkl 1 1 -1, 20.64°, 4.303 Å, intensity 26
hkl 1 1 0, 21.37°, 4.159 Å, intensity 100
hkl 1 0 -2, 26.20°, 3.401 Å, intensity 26
hkl 0 2 1, 26.84°, 3.322 Å, intensity 33
hkl 1 1 -2, 28.58°, 3.123 Å, intensity 77
hkl 0 0 2, 28.89°, 3.090 Å, intensity 34
hkl 1 1 1, 30.17°, 2.962 Å, intensity 25
hkl 0 1 2, 31.09°, 2.877 Å, intensity 46
hkl 1 3 -1, 38.50°, 2.338 Å, intensity 42
hkl 2 2 -1, 40.07°, 2.250 Å, intensity 31
hkl 1 3 1, 44.66°, 2.029 Å, intensity 22
hkl 1 2 -3, 45.51°, 1.993 Å, intensity 22

***

3.
Calculated X-ray diffraction stick pattern of Cs2Se for Cu Kα X-rays, from a structure optimized by DFT (PBE).

Structure:
```
data_Cs2Se
_chemical_formula_sum 'Cs8 Se4'
_cell_length_a 9.0958
_cell_length_b 5.6242
_cell_length_c 10.9989
_cell_angle_alpha 90.00
_cell_angle_beta 90.00
_cell_angle_gamma 90.00
_space_group_name_H-M_alt 'P n m a'
_space_group_IT_number 62
_space_group_name_Hall '-P 2ac 2n'
loop_
_atom_site_label
_atom_site_fract_x
_atom_site_fract_y
_atom_site_fract_z
Cs1 0.0236 0.2500 0.1706
Cs2 0.1458 0.2500 0.5745
Se1 0.2479 0.2500 0.8893
```

The 12 most intense peaks (2θ from 10° to 90°), in order of rising 2θ:
hkl 1 1 2, 24.67°, 3.609 Å, intensity 100
hkl 2 1 0, 25.18°, 3.536 Å, intensity 45
hkl 1 0 3, 26.21°, 3.400 Å, intensity 30
hkl 2 1 1, 26.48°, 3.367 Å, intensity 89
hkl 0 1 3, 29.07°, 3.071 Å, intensity 49
hkl 3 0 1, 30.59°, 2.923 Å, intensity 26
hkl 0 2 0, 31.82°, 2.812 Å, intensity 51
hkl 3 0 2, 33.76°, 2.655 Å, intensity 21
hkl 1 2 3, 41.67°, 2.168 Å, intensity 19
hkl 3 2 1, 44.72°, 2.026 Å, intensity 18
hkl 3 1 4, 47.47°, 1.915 Å, intensity 28
hkl 5 1 1, 53.57°, 1.711 Å, intensity 32

***

4.
Calculated X-ray diffraction stick pattern of NdGaGe2O7 for Cu Kα X-rays, from a structure optimized by DFT (PBE).

Structure:
```
data_NdGaGe2O7
_chemical_formula_sum 'Nd4 Ga4 Ge8 O28'
_cell_length_a 7.3370
_cell_length_b 6.6705
_cell_length_c 13.0369
_cell_angle_alpha 90.00
_cell_angle_beta 117.57
_cell_angle_gamma 90.00
_space_group_name_H-M_alt 'P 1 21/c 1'
_space_group_IT_number 14
_space_group_name_Hall '-P 2ybc'
loop_
_atom_site_label
_atom_site_fract_x
_atom_site_fract_y
_atom_site_fract_z
Nd1 0.2389 0.1459 0.4752
Ga1 0.2142 0.1013 0.7319
Ge1 0.2138 0.6581 0.4559
Ge2 0.2988 0.5893 0.7198
O1 0.0088 0.6624 0.9206
O2 0.1529 0.6872 0.1854
O3 0.2081 0.0515 0.8720
O4 0.2193 0.1091 0.2794
O5 0.2514 0.5016 0.5765
O6 0.4088 0.6741 0.9806
O7 0.4323 0.1248 0.6939
```

The 12 most intense peaks (2θ from 10° to 90°), in order of rising 2θ:
hkl 2 0 0, 27.41°, 3.254 Å, intensity 100
hkl 0 2 1, 27.85°, 3.203 Å, intensity 15
hkl 1 2 -1, 29.45°, 3.033 Å, intensity 50
hkl 2 0 -4, 30.42°, 2.938 Å, intensity 28
hkl 0 0 4, 30.95°, 2.889 Å, intensity 39
hkl 1 2 1, 32.70°, 2.739 Å, intensity 23
hkl 0 2 3, 35.61°, 2.522 Å, intensity 22
hkl 1 2 -5, 44.29°, 2.045 Å, intensity 17
hkl 3 2 -1, 47.53°, 1.913 Å, intensity 15
hkl 3 2 -5, 50.41°, 1.810 Å, intensity 14
hkl 2 2 3, 52.22°, 1.752 Å, intensity 16
hkl 4 0 0, 56.63°, 1.625 Å, intensity 14

***

5.
Calculated X-ray diffraction stick pattern of TmZn3 for Cu Kα X-rays, from a structure optimized by DFT (PBE).

Structure:
```
data_TmZn3
_chemical_formula_sum 'Tm4 Zn12'
_cell_length_a 6.6252
_cell_length_b 4.3724
_cell_length_c 10.0151
_cell_angle_alpha 90.00
_cell_angle_beta 90.00
_cell_angle_gamma 90.00
_space_group_name_H-M_alt 'P n m a'
_space_group_IT_number 62
_space_group_name_Hall '-P 2ac 2n'
loop_
_atom_site_label
_atom_site_fract_x
_atom_site_fract_y
_atom_site_fract_z
Tm1 0.2201 0.2500 0.1639
Zn1 0.0361 0.7500 0.3965
Zn2 0.0812 0.2500 0.8514
Zn3 0.2169 0.7500 0.9570
```

The 12 most intense peaks (2θ from 10° to 90°), in order of rising 2θ:
hkl 0 1 1, 22.22°, 4.001 Å, intensity 20
hkl 2 0 0, 26.91°, 3.313 Å, intensity 12
hkl 2 1 1, 35.15°, 2.553 Å, intensity 85
hkl 0 0 4, 35.87°, 2.504 Å, intensity 13
hkl 1 1 3, 36.48°, 2.463 Å, intensity 100
hkl 1 0 4, 38.44°, 2.342 Å, intensity 24
hkl 0 2 0, 41.30°, 2.186 Å, intensity 41
hkl 2 1 3, 43.71°, 2.071 Å, intensity 15
hkl 3 0 2, 44.86°, 2.021 Å, intensity 19
hkl 1 2 4, 57.71°, 1.597 Å, intensity 21
hkl 3 2 2, 62.60°, 1.484 Å, intensity 14
hkl 1 3 3, 72.14°, 1.309 Å, intensity 15

***

6.
Calculated X-ray diffraction stick pattern of Ti2Ga for Cu Kα X-rays, from a structure optimized by DFT (PBE).

Structure:
```
data_Ti2Ga
_chemical_formula_sum 'Ti4 Ga2'
_cell_length_a 4.5324
_cell_length_b 4.5324
_cell_length_c 5.4671
_cell_angle_alpha 90.00
_cell_angle_beta 90.00
_cell_angle_gamma 120.00
_space_group_name_H-M_alt 'P 63/m m c'
_space_group_IT_number 194
_space_group_name_Hall '-P 6c 2c'
loop_
_atom_site_label
_atom_site_fract_x
_atom_site_fract_y
_atom_site_fract_z
Ti1 0.0000 0.0000 0.0000
Ti2 0.3333 0.6667 0.2500
Ga1 0.3333 0.6667 0.7500
```

The 12 most intense peaks (2θ from 10° to 90°), in order of rising 2θ:
hkl 1 0 1, 27.98°, 3.188 Å, intensity 9
hkl 0 0 2, 32.76°, 2.734 Å, intensity 11
hkl 1 1 0, 39.78°, 2.266 Å, intensity 100
hkl 1 0 2, 40.20°, 2.243 Å, intensity 79
hkl 1 1 2, 52.45°, 1.745 Å, intensity 17
hkl 2 0 2, 57.84°, 1.594 Å, intensity 25
hkl 0 0 4, 68.67°, 1.367 Å, intensity 6
hkl 3 0 0, 72.20°, 1.308 Å, intensity 15
hkl 2 1 2, 72.49°, 1.304 Å, intensity 24
hkl 3 0 2, 81.57°, 1.180 Å, intensity 4
hkl 1 1 4, 82.40°, 1.170 Å, intensity 21
hkl 2 2 0, 85.74°, 1.133 Å, intensity 9